Starting from a PBE-relaxed structure, the X-ray diffraction stick pattern of Dy8HC3N3 was simulated for Cu Kα, 1.54184 Å.
Lines closer than 0.1° are merged.

The 10 most intense peaks (10° ≤ 2θ ≤ 90°), by intensity:
2θ 31.03, d 2.882, I = 100, (2 0 2); 2θ 35.99, d 2.496, I = 64, (0 2 4); 2θ 51.81, d 1.765, I = 45, (2 2 0); 2θ 61.62, d 1.505, I = 33, (2 2 6); 2θ 64.73, d 1.440, I = 11, (4 0 4); 2θ 61.68, d 1.504, I = 11, (0 4 2); 2θ 87.44, d 1.115, I = 10, (2 4 4); 2θ 87.32, d 1.117, I = 10, (2 2 12); 2θ 84.71, d 1.144, I = 9, (4 2 2); 2θ 84.57, d 1.146, I = 9, (4 0 10)

Structural model:
a = 7.0535 Å, b = 7.0535 Å, c = 17.3145 Å
α = 90.00°, β = 90.00°, γ = 120.00°
Space group R-3m (No. 166, hexagonal axes)
One atom of each set of equivalent atoms:
Dy 0.0000 0.0000 0.2480 x6
Dy 0.0042 0.5021 0.7488 x18
H 0.0000 0.0000 0.5000 x3
C 0.0000 0.5000 0.0000 x9
N 0.0000 0.5000 0.5000 x9

Starting from a PBE-relaxed structure, the X-ray diffraction stick pattern of Dy2HgC2 was simulated for Cu Kα, 1.54184 Å.
Lines closer than 0.1° are merged.

The 10 most intense peaks (10° ≤ 2θ ≤ 90°), by intensity:
2θ 29.51, d 3.027, I = 100, (4 0 -2); 2θ 28.97, d 3.082, I = 67, (1 1 1); 2θ 36.02, d 2.493, I = 41, (2 0 2); 2θ 36.82, d 2.441, I = 33, (5 1 -1); 2θ 35.43, d 2.534, I = 31, (1 1 -2); 2θ 37.84, d 2.377, I = 27, (6 0 0); 2θ 48.83, d 1.865, I = 26, (2 2 -1); 2θ 58.50, d 1.578, I = 19, (4 2 1); 2θ 46.36, d 1.959, I = 18, (3 1 -3); 2θ 48.21, d 1.888, I = 13, (7 1 -2)

Structural model:
a = 15.6243 Å, b = 3.9202 Å, c = 6.7850 Å
α = 90.00°, β = 114.08°, γ = 90.00°
Space group C2/c (No. 15)
One atom of each set of equivalent atoms:
Dy 0.1536 0.1616 0.1019 x8
Hg 0.0000 0.4084 0.2500 x4
C 0.2243 0.3743 0.5191 x8

Starting from a PBE-relaxed structure, the X-ray diffraction stick pattern of Sm3DyHg2C was simulated for Cu Kα, 1.54184 Å.
Lines closer than 0.1° are merged.

The 10 most intense peaks (10° ≤ 2θ ≤ 90°), by intensity:
2θ 34.80, d 2.578, I = 100, (1 1 4); 2θ 27.89, d 3.199, I = 50, (1 1 2); 2θ 35.39, d 2.537, I = 32, (0 2 0); 2θ 36.51, d 2.461, I = 29, (2 0 0); 2θ 25.21, d 3.533, I = 23, (1 1 0); 2θ 51.76, d 1.766, I = 21, (2 2 0); 2θ 51.16, d 1.786, I = 17, (0 2 6); 2θ 64.62, d 1.442, I = 17, (3 1 4); 2θ 63.14, d 1.472, I = 16, (1 3 4); 2θ 35.70, d 2.515, I = 14, (0 0 6)

Structural model:
a = 4.9220 Å, b = 5.0732 Å, c = 15.0887 Å
α = 90.00°, β = 90.00°, γ = 90.00°
Space group Immm (No. 71)
One atom of each set of equivalent atoms:
Sm 0.0000 0.0000 0.0000 x2
Sm 0.0000 0.5000 0.1673 x4
Dy 0.0000 0.0000 0.5000 x2
Hg 0.0000 0.5000 0.3704 x4
C 0.0000 0.5000 0.0000 x2